(1)
For La3Cu4P4Se2, a structure optimized by DFT (PBE) gives the theoretical powder diffraction line list in this record (copper Kα).
Peak positions follow from Bragg's law for the DFT cell and can differ from measured ones.

Atomic structure:
```
La3Cu4P4Se2
1.0
-2.006 2.006 15.198
2.006 -2.006 15.198
2.006 2.006 -15.198
La Cu P Se
3 4 4 2
direct
0.000 0.000 0.000
0.329 0.329 0.000
0.671 0.671 0.000
0.087 0.587 0.500
0.413 0.913 0.500
0.587 0.087 0.500
0.913 0.413 0.500
0.134 0.134 0.000
0.454 0.454 0.000
0.546 0.546 0.000
0.866 0.866 0.000
0.250 0.750 0.500
0.750 0.250 0.500
```

Largest 8 diffraction maxima, by intensity, 10 to 90 degrees two-theta:
2θ = 36.3°, I = 100; 2θ = 23.9°, I = 40; 2θ = 34.7°, I = 35; 2θ = 45.2°, I = 34; 2θ = 77.6°, I = 21; 2θ = 35.4°, I = 19; 2θ = 58.7°, I = 17; 2θ = 58.2°, I = 15


(2)
For BaZnTe2O7, a structure optimized by DFT (PBE) gives the theoretical powder diffraction line list in this record (copper Kα).
Peak positions follow from Bragg's law for the DFT cell and can differ from measured ones.

Atomic structure:
```
BaZnTe2O7
1.0
5.578 0.000 0.000
0.000 7.615 3.659
0.000 -7.615 3.659
Ba Zn Te O
2 2 4 14
direct
0.250 0.209 0.791
0.750 0.791 0.209
0.250 0.632 0.398
0.750 0.398 0.632
0.250 0.173 0.317
0.250 0.683 0.842
0.750 0.317 0.173
0.750 0.842 0.683
0.000 0.876 0.876
0.004 0.532 0.850
0.008 0.454 0.164
0.250 0.515 0.547
0.250 0.865 0.141
0.492 0.454 0.164
0.496 0.532 0.850
0.500 0.876 0.876
0.504 0.850 0.532
0.508 0.164 0.454
0.750 0.141 0.865
0.750 0.547 0.515
0.992 0.164 0.454
0.996 0.850 0.532
```

Largest 8 diffraction maxima, by intensity, 10 to 90 degrees two-theta:
2θ = 31.5°, I = 100; 2θ = 28.4°, I = 74; 2θ = 26.7°, I = 45; 2θ = 32.1°, I = 39; 2θ = 27.0°, I = 37; 2θ = 55.0°, I = 30; 2θ = 42.4°, I = 29; 2θ = 58.4°, I = 20


(3)
For PuTaGa, a structure optimized by DFT (PBE) gives the theoretical powder diffraction line list in this record (copper Kα).
Peak positions follow from Bragg's law for the DFT cell and can differ from measured ones.

Atomic structure:
```
PuTaGa
1.0
0.000 3.227 3.227
3.227 0.000 3.227
3.227 3.227 0.000
Pu Ta Ga
1 1 1
direct
0.000 0.000 0.000
0.500 0.500 0.500
0.250 0.250 0.250
```

Largest 8 diffraction maxima, by intensity, 10 to 90 degrees two-theta:
2θ = 39.5°, I = 100; 2θ = 27.6°, I = 61; 2θ = 71.6°, I = 35; 2θ = 64.6°, I = 24; 2θ = 48.9°, I = 18; 2θ = 57.1°, I = 17; 2θ = 85.0°, I = 11; 2θ = 23.9°, I = 9


(4)
For SmBe4Zn8, a structure optimized by DFT (PBE) gives the theoretical powder diffraction line list in this record (copper Kα).
Peak positions follow from Bragg's law for the DFT cell and can differ from measured ones.

Atomic structure:
```
SmBe4Zn8
1.0
-4.231 4.231 2.492
4.231 -4.231 2.492
4.231 4.231 -2.492
Sm Be Zn
1 4 8
direct
0.000 0.000 0.000
0.292 0.500 0.792
0.500 0.292 0.792
0.500 0.708 0.208
0.708 0.500 0.208
0.000 0.000 0.500
0.000 0.355 0.355
0.000 0.500 0.000
0.000 0.645 0.645
0.355 0.000 0.355
0.500 0.000 0.000
0.500 0.500 0.500
0.645 0.000 0.645
```

Largest 8 diffraction maxima, by intensity, 10 to 90 degrees two-theta:
2θ = 42.1°, I = 100; 2θ = 36.6°, I = 89; 2θ = 20.7°, I = 74; 2θ = 29.9°, I = 50; 2θ = 42.6°, I = 45; 2θ = 42.7°, I = 36; 2θ = 77.8°, I = 24; 2θ = 33.5°, I = 23